Starting from a crystal structure in Alexandria, relaxed with GGA-PBE, the XRD peak list of Li3Cu6Si was computed for CuKα.
Kinematic intensities with the Lorentz-polarization factor, no thermal factor.

Structure:
abc: 4.8270 4.0828 6.2632
angles: 90.00 101.38 90.00
Space group P2/m (No. 10)
Inequivalent atoms, fractional coordinates:
Li1 0.0000 0.0000 0.0000 (multiplicity 1)
Li2 0.3895 0.0000 0.7973 (multiplicity 2)
Cu1 0.1054 0.5000 0.6991 (multiplicity 2)
Cu2 0.2141 0.0000 0.4058 (multiplicity 2)
Cu3 0.3057 0.5000 0.1104 (multiplicity 2)
Si1 0.5000 0.5000 0.5000 (multiplicity 1)

Most intense lines, 10° ≤ 2θ ≤ 80°, sorted by position:
h k l  d [Å]  Rel. int.
0 1 0  4.083  183
0 1 1  3.400  196
2 1 -1  2.050  1000
0 2 0  2.041  246
1 0 -3  2.030  240
1 2 -3  1.439  145

Starting from a crystal structure in Alexandria, relaxed with GGA-PBE, the XRD peak list of In4Hg7Bi was computed for CuKα.
Kinematic intensities with the Lorentz-polarization factor, no thermal factor.

Structure:
abc: 4.8296 4.8296 16.6137
angles: 90.00 90.00 120.00
Space group P-3m1 (No. 164)
Inequivalent atoms, fractional coordinates:
In1 0.3333 0.6667 0.1667 (multiplicity 2)
In2 0.3333 0.6667 0.4241 (multiplicity 2)
Hg1 0.0000 0.0000 0.2582 (multiplicity 2)
Hg2 0.0000 0.0000 0.5000 (multiplicity 1)
Hg3 0.3333 0.6667 0.6589 (multiplicity 2)
Hg4 0.3333 0.6667 0.9126 (multiplicity 2)
Bi1 0.0000 0.0000 0.0000 (multiplicity 1)

Most intense lines, 10° ≤ 2θ ≤ 80°, sorted by position:
h k l  d [Å]  Rel. int.
1 0 4  2.947  1000
1 1 0  2.415  588
0 2 4  1.868  272
0 1 8  1.860  249
2 1 4  1.477  255
1 2 8  1.258  140